Diffraction record for Li4Ti3Fe3Co2O16. The powder diffractogram is calculated, not measured: it uses a crystal structure in the Materials Project, relaxed with PBE+U and Cu Kα, 1.54184 Å.

The 10 most intense peaks (2θ = 10–90°), most intense first:
2theta	d/Å	I_rel
19.5	4.555	100
18.4	4.810	98
35.4	2.536	75
19.6	4.529	68
45.0	2.016	51
62.6	1.483	51
36.1	2.491	49
39.6	2.277	41
32.8	2.733	37
45.3	2.001	37

```
data_Li4Ti3Fe3Co2O16
_chemical_formula_sum 'Li8 Ti6 Fe6 Co4 O32'
_symmetry_space_group_name_H-M 'C 1 m 1'
_symmetry_Int_Tables_number 8
_cell_length_a 10.2610
_cell_length_b 5.9581
_cell_length_c 9.6202
_cell_angle_alpha 90.00
_cell_angle_beta 90.81
_cell_angle_gamma 90.00
loop_
_symmetry_equiv_pos_as_xyz
'x,y,z'
'x,-y,z'
'x+1/2,y+1/2,z'
'x+1/2,-y+1/2,z'
loop_
_atom_site_label
_atom_site_type_symbol
_atom_site_fract_x
_atom_site_fract_y
_atom_site_fract_z
Li1 Li 0.0000 0.0000 0.0000
Li2 Li 0.0031 0.0000 0.4966
Li3 Li 0.1656 0.5000 0.1015
Li4 Li 0.3319 0.0000 0.5975
Ti1 Ti 0.0847 0.2557 0.7793
Ti2 Ti 0.1722 0.0000 0.2761
Fe1 Fe 0.3314 0.5000 0.7774
Fe2 Fe 0.4159 0.2448 0.2821
Co1 Co 0.1766 0.5000 0.5020
Co2 Co 0.3380 0.0000 0.0053
O1 O 0.0008 0.0000 0.1871
O2 O 0.0043 0.0000 0.6816
O3 O 0.0192 0.5000 0.6607
O4 O 0.0839 0.2492 0.3930
O5 O 0.1650 0.5000 0.8896
O6 O 0.1701 0.0000 0.8899
O7 O 0.2360 0.2794 0.6524
O8 O 0.2566 0.2198 0.1568
O9 O 0.3298 0.0000 0.3922
O10 O 0.3347 0.5000 0.3997
O11 O 0.4246 0.2526 0.8891
O12 O 0.4769 0.0000 0.1499
```


Diffraction record for Mn2OF3. The powder diffractogram is calculated, not measured: it uses a crystal structure in the Materials Project, relaxed with PBE+U and Cu Kα, 1.54184 Å.

The 10 most intense peaks (2θ = 10–90°), most intense first:
2theta	d/Å	I_rel
33.8	2.654	100
25.4	3.500	96
26.4	3.377	93
50.4	1.810	64
64.6	1.443	50
51.5	1.775	48
52.3	1.750	22
38.3	2.349	22
39.0	2.310	22
58.2	1.584	20

```
data_Mn2OF3
_chemical_formula_sum 'Mn8 O4 F12'
_symmetry_space_group_name_H-M 'C m c m'
_symmetry_Int_Tables_number 63
_symmetry_space_group_name_Hall '-C 2c 2'
_cell_length_a 7.0002
_cell_length_b 6.7533
_cell_length_c 6.3364
_cell_angle_alpha 90.00
_cell_angle_beta 90.00
_cell_angle_gamma 90.00
loop_
_atom_site_label
_atom_site_type_symbol
_atom_site_fract_x
_atom_site_fract_y
_atom_site_fract_z
Mn1 Mn 0.0000 0.0000 0.0000
Mn2 Mn 0.0000 0.4644 0.2500
O1 O 0.0000 0.1653 0.2500
F1 F 0.0000 0.2181 0.7500
F2 F 0.2037 0.5000 0.0000
```


Diffraction record for PrW2O6. The powder diffractogram is calculated, not measured: it uses a crystal structure in the Materials Project, relaxed with PBE+U and Cu Kα, 1.54184 Å.

The 10 most intense peaks (2θ = 10–90°), most intense first:
2theta	d/Å	I_rel
22.3	3.983	100
31.8	2.817	93
45.5	1.991	72
31.6	2.834	47
32.2	2.780	45
32.0	2.799	45
31.3	2.855	44
57.1	1.614	20
56.6	1.625	20
19.5	4.543	16

```
data_PrW2O6
_chemical_formula_sum 'Pr2 W4 O12'
_symmetry_space_group_name_H-M 'P 1'
_symmetry_Int_Tables_number 1
_cell_length_a 5.5593
_cell_length_b 5.7099
_cell_length_c 7.9661
_cell_angle_alpha 90.58
_cell_angle_beta 90.42
_cell_angle_gamma 90.01
loop_
_symmetry_equiv_pos_as_xyz
'x,y,z'
loop_
_atom_site_label
_atom_site_type_symbol
_atom_site_fract_x
_atom_site_fract_y
_atom_site_fract_z
Pr1 Pr 0.0000 0.0000 0.0000
Pr2 Pr 0.4924 0.3932 0.4992
W1 W 0.0052 0.4574 0.7490
W2 W 0.0055 0.4577 0.2476
W3 W 0.5061 0.9427 0.7514
W4 W 0.5095 0.9404 0.2521
O1 O 0.0686 0.4272 0.0003
O2 O 0.2286 0.1720 0.2827
O3 O 0.2311 0.1741 0.7158
O4 O 0.2899 0.6442 0.2948
O5 O 0.3151 0.6666 0.7071
O6 O 0.4208 0.9361 0.9996
O7 O 0.5679 0.9702 0.5010
O8 O 0.7206 0.2126 0.7840
O9 O 0.7393 0.2377 0.2202
O10 O 0.8054 0.7469 0.7977
O11 O 0.8064 0.7460 0.2040
O12 O 0.9159 0.4646 0.4996
```


Diffraction record for Lu2MnCoO6. The powder diffractogram is calculated, not measured: it uses a crystal structure in the Materials Project, relaxed with PBE+U and Cu Kα, 1.54184 Å.

The 10 most intense peaks (2θ = 10–90°), most intense first:
2theta	d/Å	I_rel
33.4	2.683	100
33.6	2.665	99
34.5	2.597	82
23.5	3.782	78
61.0	1.519	38
32.4	2.767	31
26.3	3.394	28
26.4	3.376	28
48.2	1.888	27
48.1	1.893	27

```
data_Lu2MnCoO6
_chemical_formula_sum 'Lu4 Mn2 Co2 O12'
_symmetry_space_group_name_H-M 'P 1 21/c 1'
_symmetry_Int_Tables_number 14
_cell_length_a 5.1928
_cell_length_b 5.5331
_cell_length_c 9.1246
_cell_angle_alpha 90.00
_cell_angle_beta 124.15
_cell_angle_gamma 90.00
loop_
_symmetry_equiv_pos_as_xyz
'x,y,z'
'-x,-y,-z'
'-x,y+1/2,-z+1/2'
'x,-y+1/2,z+1/2'
loop_
_atom_site_label
_atom_site_type_symbol
_atom_site_fract_x
_atom_site_fract_y
_atom_site_fract_z
Lu1 Lu 0.2223 0.0751 0.2478
Mn1 Mn 0.5000 0.0000 0.0000
Co1 Co 0.0000 0.0000 0.5000
O1 O 0.1401 0.1880 0.9400
O2 O 0.2507 0.7066 0.9318
O3 O 0.3855 0.0493 0.7592
```